This entry pairs a crystal structure of Mg7Si with its theoretical X-ray diffraction stick pattern. Radiation: Cu Kα, 1.54184 Å. Structure: a DFT-relaxed cell (GGA-PBE, the Materials Project).

Structural model:
abc: 6.2631 6.2631 4.9993
angles: 90.00 90.00 120.00
Fractional coordinates of all 8 atoms:
Mg: 0.0000 0.0000 0.0000
Mg: 0.0051 0.5026 0.0000
Mg: 0.3327 0.1664 0.5000
Mg: 0.4974 0.5026 0.0000
Mg: 0.4974 0.9949 0.0000
Mg: 0.8336 0.1664 0.5000
Mg: 0.8336 0.6673 0.5000
Si: 0.3333 0.6667 0.5000

Principal peaks in the range 2θ = 5–70°, low angle first:
33.03°, d 2.712, I 24
35.93°, d 2.500, I 26
37.74°, d 2.384, I 100
49.60°, d 1.838, I 15
58.99°, d 1.566, I 17
65.77°, d 1.420, I 18
69.29°, d 1.356, I 3



This entry pairs a crystal structure of Mg2Si3 with its theoretical X-ray diffraction stick pattern. Radiation: Cu Kα, 1.54184 Å. Structure: a DFT-relaxed cell (GGA-PBE, the Materials Project).

Structural model:
abc: 5.6051 5.8466 11.7175
angles: 88.18 84.99 74.35
Fractional coordinates of all 20 atoms:
Mg: 0.0000 0.0000 0.0000
Mg: 0.0495 0.4817 0.0130
Mg: 0.1415 0.3621 0.2705
Mg: 0.2017 0.2470 0.5320
Mg: 0.2800 0.7269 0.5465
Mg: 0.3628 0.3937 0.7753
Mg: 0.6072 0.4553 0.3053
Mg: 0.8850 0.2980 0.7692
Si: 0.2191 0.8263 0.2290
Si: 0.3031 0.9272 0.7644
Si: 0.4388 0.0688 0.0902
Si: 0.5353 0.9735 0.3610
Si: 0.5401 0.7918 0.9340
Si: 0.5912 0.3820 0.9732
Si: 0.6671 0.2959 0.5680
Si: 0.6930 0.8988 0.6435
Si: 0.8048 0.7918 0.1832
Si: 0.8248 0.6532 0.4785
Si: 0.9335 0.0381 0.3976
Si: 0.9415 0.7587 0.8030

Principal peaks in the range 2θ = 5–70°, low angle first:
30.64°, d 2.918, I 32
34.49°, d 2.600, I 44
34.83°, d 2.576, I 41
35.54°, d 2.526, I 34
36.20°, d 2.481, I 29
39.13°, d 2.302, I 100
39.67°, d 2.272, I 92
42.14°, d 2.144, I 41
43.38°, d 2.086, I 48
43.84°, d 2.065, I 32



This entry pairs a crystal structure of Mg4Si3 with its theoretical X-ray diffraction stick pattern. Radiation: Cu Kα, 1.54184 Å. Structure: a DFT-relaxed cell (GGA-PBE, the Materials Project).

Structural model:
abc: 5.3221 5.7337 9.0732
angles: 101.86 102.94 96.12
Fractional coordinates of all 14 atoms:
Mg: 0.0173 0.3004 0.0945
Mg: 0.1412 0.1539 0.7873
Mg: 0.2776 0.1517 0.4862
Mg: 0.3977 0.6561 0.7158
Mg: 0.6023 0.3439 0.2842
Mg: 0.7224 0.8483 0.5138
Mg: 0.8588 0.8461 0.2127
Mg: 0.9827 0.6996 0.9055
Si: 0.1439 0.5942 0.4061
Si: 0.3529 0.8158 0.2136
Si: 0.5000 0.0000 0.0000
Si: 0.5000 0.5000 0.0000
Si: 0.6471 0.1842 0.7864
Si: 0.8561 0.4058 0.5939

Principal peaks in the range 2θ = 5–70°, low angle first:
34.87°, d 2.573, I 41
36.83°, d 2.440, I 68
38.08°, d 2.363, I 52
38.47°, d 2.340, I 71
39.17°, d 2.300, I 100
39.37°, d 2.289, I 64
39.55°, d 2.279, I 67
39.92°, d 2.258, I 45
40.92°, d 2.205, I 45
41.30°, d 2.186, I 100



This entry pairs a crystal structure of Mg3Si4 with its theoretical X-ray diffraction stick pattern. Radiation: Cu Kα, 1.54184 Å. Structure: a DFT-relaxed cell (GGA-PBE, the Materials Project).

Structural model:
abc: 8.0129 4.3262 8.1552
angles: 90.00 112.16 90.00
Fractional coordinates of all 14 atoms:
Mg: 0.0000 0.0000 0.0000
Mg: 0.0251 0.5000 0.6701
Mg: 0.2481 0.5000 0.3145
Mg: 0.6081 0.0000 0.0244
Mg: 0.6487 0.5000 0.3309
Mg: 0.9446 0.0000 0.3770
Si: 0.2451 0.0000 0.8543
Si: 0.2991 0.0000 0.5804
Si: 0.3444 0.5000 0.9934
Si: 0.4203 0.5000 0.7272
Si: 0.4820 0.0000 0.3805
Si: 0.7392 0.5000 0.8030
Si: 0.7663 0.0000 0.6276
Si: 0.8714 0.5000 0.1320

Principal peaks in the range 2θ = 5–70°, low angle first:
31.44°, d 2.845, I 42
33.82°, d 2.650, I 72
35.66°, d 2.518, I 20
37.12°, d 2.422, I 100
39.16°, d 2.300, I 30
39.70°, d 2.270, I 32
40.66°, d 2.219, I 24
41.76°, d 2.163, I 81
45.66°, d 1.987, I 21
49.80°, d 1.831, I 17



This entry pairs a crystal structure of Mg2Si3 with its theoretical X-ray diffraction stick pattern. Radiation: Cu Kα, 1.54184 Å. Structure: a DFT-relaxed cell (GGA-PBE, the Materials Project).

Structural model:
abc: 3.8590 6.1872 8.9961
angles: 100.64 102.35 107.23
Fractional coordinates of all 10 atoms:
Mg: 0.1321 0.2777 0.4962
Mg: 0.1702 0.9831 0.8527
Mg: 0.8298 0.0169 0.1473
Mg: 0.8679 0.7223 0.5038
Si: 0.1448 0.5150 0.2650
Si: 0.4018 0.9408 0.3548
Si: 0.4999 0.3880 0.0957
Si: 0.5001 0.6120 0.9043
Si: 0.5982 0.0592 0.6452
Si: 0.8552 0.4850 0.7350

Principal peaks in the range 2θ = 5–70°, low angle first:
27.93°, d 3.195, I 100
31.40°, d 2.849, I 48
32.90°, d 2.722, I 51
34.14°, d 2.626, I 40
34.53°, d 2.598, I 70
39.25°, d 2.296, I 63
39.85°, d 2.262, I 56
43.03°, d 2.102, I 91
46.94°, d 1.935, I 38
47.10°, d 1.930, I 93



This entry pairs a crystal structure of Mg4Si3 with its theoretical X-ray diffraction stick pattern. Radiation: Cu Kα, 1.54184 Å. Structure: a DFT-relaxed cell (GGA-PBE, the Materials Project).

Structural model:
abc: 6.4489 7.0972 12.5204
angles: 92.18 92.06 103.93
Fractional coordinates of all 28 atoms:
Mg: 0.0000 0.0000 0.0000
Mg: 0.0063 0.1048 0.5437
Mg: 0.1352 0.6291 0.4772
Mg: 0.1800 0.0178 0.7585
Mg: 0.2000 0.5386 0.2350
Mg: 0.2644 0.0509 0.2530
Mg: 0.4229 0.3754 0.6498
Mg: 0.4491 0.0206 0.5232
Mg: 0.4957 0.0557 0.9747
Mg: 0.5737 0.6578 0.0266
Mg: 0.6514 0.4633 0.2703
Mg: 0.6910 0.7110 0.5459
Mg: 0.7060 0.9940 0.7535
Mg: 0.7163 0.0422 0.1854
Mg: 0.9291 0.4239 0.0215
Mg: 0.9727 0.4345 0.7039
Si: 0.2570 0.7038 0.8671
Si: 0.2754 0.3493 0.8867
Si: 0.3115 0.3124 0.0847
Si: 0.3416 0.3311 0.4236
Si: 0.3499 0.7318 0.6752
Si: 0.4974 0.8064 0.3481
Si: 0.6376 0.3415 0.8370
Si: 0.7526 0.3560 0.5031
Si: 0.8682 0.6937 0.8557
Si: 0.8830 0.8575 0.3569
Si: 0.9366 0.7515 0.1700
Si: 0.9392 0.2610 0.3522

Principal peaks in the range 2θ = 5–70°, low angle first:
27.20°, d 3.279, I 25
33.79°, d 2.653, I 33
34.61°, d 2.592, I 32
36.46°, d 2.464, I 34
36.76°, d 2.445, I 100
37.98°, d 2.369, I 44
39.28°, d 2.293, I 35
39.88°, d 2.261, I 34
40.35°, d 2.235, I 21
43.43°, d 2.084, I 20



This entry pairs a crystal structure of Mg3Si4 with its theoretical X-ray diffraction stick pattern. Radiation: Cu Kα, 1.54184 Å. Structure: a DFT-relaxed cell (GGA-PBE, the Materials Project).

Structural model:
abc: 4.3281 7.8951 7.9295
angles: 92.90 101.95 104.51
Fractional coordinates of all 14 atoms:
Mg: 0.0000 0.0000 0.0000
Mg: 0.0009 0.3272 0.7587
Mg: 0.0742 0.7959 0.3457
Mg: 0.1599 0.7296 0.7699
Mg: 0.2376 0.4437 0.1785
Mg: 0.6939 0.1033 0.3033
Si: 0.3304 0.2653 0.4748
Si: 0.3674 0.0838 0.7100
Si: 0.4910 0.7790 0.1054
Si: 0.5093 0.5812 0.5923
Si: 0.5830 0.2629 0.9925
Si: 0.6371 0.5651 0.9155
Si: 0.7408 0.9226 0.6124
Si: 0.8837 0.4643 0.4509

Principal peaks in the range 2θ = 5–70°, low angle first:
34.51°, d 2.599, I 66
34.61°, d 2.592, I 76
35.48°, d 2.530, I 35
36.38°, d 2.470, I 55
36.85°, d 2.439, I 35
37.93°, d 2.372, I 38
38.11°, d 2.361, I 43
38.65°, d 2.329, I 34
40.59°, d 2.223, I 53
41.86°, d 2.158, I 100



This entry pairs a crystal structure of Mg3Si4 with its theoretical X-ray diffraction stick pattern. Radiation: Cu Kα, 1.54184 Å. Structure: a DFT-relaxed cell (GGA-PBE, the Materials Project).

Structural model:
abc: 3.9447 8.2527 9.0023
angles: 110.62 99.94 95.38
Fractional coordinates of all 14 atoms:
Mg: 0.0000 0.0000 0.0000
Mg: 0.0404 0.7118 0.2520
Mg: 0.1166 0.4204 0.5251
Mg: 0.3332 0.2079 0.7837
Mg: 0.4464 0.6826 0.9637
Mg: 0.7121 0.9230 0.5449
Si: 0.1293 0.3658 0.0834
Si: 0.1925 0.0830 0.4240
Si: 0.3177 0.8587 0.7514
Si: 0.5496 0.5501 0.3666
Si: 0.6016 0.0019 0.2412
Si: 0.6564 0.2731 0.1867
Si: 0.7593 0.6679 0.6915
Si: 0.8732 0.4508 0.8371

Principal peaks in the range 2θ = 5–70°, low angle first:
33.17°, d 2.701, I 100
33.25°, d 2.695, I 36
34.99°, d 2.564, I 58
37.77°, d 2.382, I 32
39.15°, d 2.301, I 42
39.63°, d 2.274, I 31
40.45°, d 2.230, I 32
44.67°, d 2.029, I 31
46.24°, d 1.964, I 49
46.80°, d 1.941, I 30



This entry pairs a crystal structure of Mg3Si4 with its theoretical X-ray diffraction stick pattern. Radiation: Cu Kα, 1.54184 Å. Structure: a DFT-relaxed cell (GGA-PBE, the Materials Project).

Structural model:
abc: 3.6135 7.7470 10.1612
angles: 79.62 85.00 85.22
Fractional coordinates of all 14 atoms:
Mg: 0.0000 0.0000 0.0000
Mg: 0.0222 0.4540 0.2456
Mg: 0.0716 0.6321 0.9530
Mg: 0.2240 0.6162 0.6552
Mg: 0.4809 0.0852 0.2313
Mg: 0.7145 0.9645 0.7367
Si: 0.0008 0.2839 0.6271
Si: 0.2236 0.3171 0.8556
Si: 0.4623 0.9172 0.5033
Si: 0.4727 0.7578 0.1393
Si: 0.4953 0.6859 0.3773
Si: 0.5175 0.3841 0.4753
Si: 0.6824 0.3302 0.0096
Si: 0.9459 0.1174 0.4339

Principal peaks in the range 2θ = 5–70°, low angle first:
8.87°, d 9.968, I 36
28.21°, d 3.164, I 46
34.44°, d 2.604, I 39
35.43°, d 2.534, I 100
36.10°, d 2.488, I 53
38.14°, d 2.359, I 58
38.96°, d 2.312, I 40
39.64°, d 2.273, I 75
40.71°, d 2.217, I 54
46.55°, d 1.951, I 49



This entry pairs a crystal structure of Mg2Si3 with its theoretical X-ray diffraction stick pattern. Radiation: Cu Kα, 1.54184 Å. Structure: a DFT-relaxed cell (GGA-PBE, the Materials Project).

Structural model:
abc: 4.4155 5.2846 8.5722
angles: 76.80 77.10 67.24
Fractional coordinates of all 10 atoms:
Mg: 0.0045 0.1678 0.3216
Mg: 0.1748 0.2295 0.9095
Mg: 0.8252 0.7705 0.0905
Mg: 0.9955 0.8322 0.6784
Si: 0.2900 0.5797 0.3400
Si: 0.3513 0.2157 0.5651
Si: 0.4674 0.6805 0.8834
Si: 0.5326 0.3195 0.1166
Si: 0.6487 0.7843 0.4349
Si: 0.7100 0.4203 0.6600

Principal peaks in the range 2θ = 5–70°, low angle first:
33.35°, d 2.686, I 33
34.69°, d 2.586, I 34
34.89°, d 2.572, I 33
36.06°, d 2.491, I 66
36.70°, d 2.449, I 52
40.13°, d 2.247, I 32
40.44°, d 2.230, I 32
40.58°, d 2.223, I 68
40.92°, d 2.205, I 100
42.26°, d 2.138, I 58



This entry pairs a crystal structure of Mg5Si6 with its theoretical X-ray diffraction stick pattern. Radiation: Cu Kα, 1.54184 Å. Structure: a DFT-relaxed cell (GGA-PBE, the Materials Project).

Structural model:
abc: 5.0734 5.4798 14.3405
angles: 96.49 97.56 90.97
Fractional coordinates of all 22 atoms:
Mg: 0.0000 0.0000 0.0000
Mg: 0.0166 0.5720 0.5156
Mg: 0.0627 0.5493 0.1272
Mg: 0.3833 0.3563 0.7521
Mg: 0.4458 0.9290 0.8763
Mg: 0.5014 0.8164 0.4380
Mg: 0.6068 0.5516 0.2479
Mg: 0.8150 0.0904 0.6260
Mg: 0.8933 0.6714 0.7658
Mg: 0.9755 0.0443 0.3770
Si: 0.1240 0.5267 0.3273
Si: 0.1912 0.4946 0.9355
Si: 0.2799 0.1469 0.5576
Si: 0.3193 0.8426 0.6786
Si: 0.3853 0.0394 0.2322
Si: 0.4892 0.3009 0.4054
Si: 0.5211 0.2633 0.0660
Si: 0.5370 0.8134 0.0766
Si: 0.5590 0.5274 0.5893
Si: 0.6975 0.4905 0.9382
Si: 0.8753 0.0810 0.1871
Si: 0.9247 0.1752 0.8227

Principal peaks in the range 2θ = 5–70°, low angle first:
33.69°, d 2.660, I 29
36.73°, d 2.447, I 51
37.55°, d 2.395, I 50
38.11°, d 2.361, I 40
38.61°, d 2.332, I 39
39.79°, d 2.265, I 73
39.92°, d 2.258, I 27
40.03°, d 2.252, I 100
40.16°, d 2.245, I 80
41.20°, d 2.191, I 25



This entry pairs a crystal structure of Mg2Si3 with its theoretical X-ray diffraction stick pattern. Radiation: Cu Kα, 1.54184 Å. Structure: a DFT-relaxed cell (GGA-PBE, the Materials Project).

Structural model:
abc: 9.0587 9.0587 5.8839
angles: 104.73 104.73 22.43
Fractional coordinates of all 10 atoms:
Mg: 0.0784 0.0784 0.4646
Mg: 0.2997 0.2997 0.1793
Mg: 0.7003 0.7003 0.8207
Mg: 0.9216 0.9216 0.5354
Si: 0.1308 0.1308 0.0611
Si: 0.3008 0.3008 0.6329
Si: 0.4622 0.4622 0.1493
Si: 0.5378 0.5378 0.8507
Si: 0.6992 0.6992 0.3671
Si: 0.8692 0.8692 0.9389

Principal peaks in the range 2θ = 5–70°, low angle first:
31.00°, d 2.885, I 20
35.70°, d 2.515, I 62
36.54°, d 2.459, I 100
38.43°, d 2.342, I 60
38.74°, d 2.325, I 17
40.03°, d 2.252, I 91
44.44°, d 2.039, I 19
51.89°, d 1.762, I 32
52.07°, d 1.756, I 12
66.39°, d 1.408, I 23